This entry pairs a crystal structure of SmVBrO4 with its theoretical powder diffractogram. Radiation: Cu Kα, 1.54184 Å. Structure: a GGA+U-relaxed structure.

Largest 10 diffraction maxima, in order of rising 2θ, 2θ from 10° to 90°:
- 17.77°, rel. 35
- 21.55°, rel. 50
- 26.50°, rel. 25
- 26.67°, rel. 98
- 27.51°, rel. 100
- 29.40°, rel. 33
- 32.07°, rel. 26
- 34.08°, rel. 24
- 54.00°, rel. 20
- 56.85°, rel. 22

Crystal structure
```
14
Lattice="5.998 -3.240 0.000 5.998 3.240 0.000 -1.513 0.000 6.727" Properties=species:S:1:pos:R:3 pbc="T T T"
Sm 1.964 0.000 2.267
Sm 8.518 0.000 4.460
V 0.443 0.000 5.100
V 10.039 0.000 1.627
Br 4.478 0.000 5.577
Br 6.004 0.000 1.150
O -0.253 0.000 1.782
O 3.302 1.889 2.528
O 2.401 0.000 0.023
O 7.180 1.889 4.199
O 3.302 -1.889 2.528
O 8.081 0.000 6.704
O 7.180 -1.889 4.199
O 10.736 0.000 4.945
```